No. 1
# Ce2Ge5Rh3
Calculated powder diffraction line list, Cu Kα (weighted mean of Kα1 and Kα2). Input: the PBE geometry in the Materials Project.
Kinematic intensities with the Lorentz-polarization factor, no thermal factor.

Crystal structure
Lattice parameters (Å, degrees): 8.4331 8.4331 8.4331 106.00 89.16 137.64
Fractional positions:
1 Ce 0.1335 0.2318 0.3653
2 Ce 0.3665 0.7318 0.0983
3 Ce 0.6335 0.2682 0.9017
4 Ce 0.8665 0.7682 0.6347
5 Ge 0.0264 0.7500 0.2764
6 Ge 0.1006 0.6593 0.7599
7 Ge 0.2500 0.2500 0.0000
8 Ge 0.3994 0.1593 0.5588
9 Ge 0.4736 0.7500 0.7236
10 Ge 0.5264 0.2500 0.2764
11 Ge 0.6006 0.8407 0.4412
12 Ge 0.7500 0.7500 0.0000
13 Ge 0.8994 0.3407 0.2401
14 Ge 0.9736 0.2500 0.7236
15 Rh 0.1402 0.8921 0.0322
16 Rh 0.2500 0.7500 0.5000
17 Rh 0.3598 0.3921 0.7519
18 Rh 0.6402 0.6079 0.2481
19 Rh 0.7500 0.2500 0.5000
20 Rh 0.8598 0.1079 0.9678

Peak list (6 most intense, 2θ = 10–90°, in order of rising 2θ)
33.8 deg, 2.654 Å, I 100; 34.3 deg, 2.612 Å, I 85; 34.7 deg, 2.585 Å, I 76; 42.3 deg, 2.139 Å, I 98; 49.7 deg, 1.834 Å, I 27; 54.9 deg, 1.673 Å, I 25

***

No. 2
# Ce3Ge4Rh4
Calculated powder diffraction line list, Cu Kα (weighted mean of Kα1 and Kα2). Input: the PBE geometry in the Materials Project.
Kinematic intensities with the Lorentz-polarization factor, no thermal factor.

Crystal structure
Lattice parameters (Å, degrees): 12.9692 12.9692 12.9692 162.26 160.95 26.14
Fractional positions:
1 Ce 0.0000 0.0000 0.0000
2 Ce 0.3546 0.8546 0.5000
3 Ce 0.6454 0.1454 0.5000
4 Ge 0.1957 0.6957 0.5000
5 Ge 0.4509 0.4509 0.0000
6 Ge 0.5491 0.5491 0.0000
7 Ge 0.8043 0.3043 0.5000
8 Rh 0.0977 0.5977 0.5000
9 Rh 0.2518 0.2518 0.0000
10 Rh 0.7482 0.7482 0.0000
11 Rh 0.9023 0.4023 0.5000

Peak list (6 most intense, 2θ = 10–90°, in order of rising 2θ)
33.4 deg, 2.679 Å, I 42; 33.8 deg, 2.655 Å, I 100; 42.1 deg, 2.146 Å, I 32; 44.7 deg, 2.025 Å, I 25; 45.4 deg, 1.999 Å, I 24; 54.8 deg, 1.675 Å, I 20

***

No. 3
# CeGe3Rh
Calculated powder diffraction line list, Cu Kα (weighted mean of Kα1 and Kα2). Input: the PBE geometry in the Materials Project.
Kinematic intensities with the Lorentz-polarization factor, no thermal factor.

Crystal structure
Lattice parameters (Å, degrees): 5.9157 5.9157 5.9157 136.07 136.07 63.88
Fractional positions:
1 Ce 0.0000 0.0000 0.0000
2 Ge 0.2332 0.7332 0.5000
3 Ge 0.5748 0.5748 0.0000
4 Ge 0.7332 0.2332 0.5000
5 Rh 0.3359 0.3359 0.0000

Peak list (6 most intense, 2θ = 10–90°, in order of rising 2θ)
28.5 deg, 3.130 Å, I 27; 33.6 deg, 2.669 Å, I 72; 33.7 deg, 2.656 Å, I 100; 40.8 deg, 2.213 Å, I 79; 46.4 deg, 1.958 Å, I 27; 53.8 deg, 1.704 Å, I 37

***

No. 4
# CeSiGeRh2
Calculated powder diffraction line list, Cu Kα (weighted mean of Kα1 and Kα2). Input: the PBE geometry in the Materials Project.
Kinematic intensities with the Lorentz-polarization factor, no thermal factor.

Crystal structure
Lattice parameters (Å, degrees): 5.9240 5.9240 5.9240 139.15 139.15 59.15
Fractional positions:
1 Ce 0.0000 0.0000 0.0000
2 Si 0.3738 0.3738 0.0000
3 Ge 0.6197 0.6197 0.0000
4 Rh 0.2564 0.7564 0.5000
5 Rh 0.7564 0.2564 0.5000

Peak list (6 most intense, 2θ = 10–90°, in order of rising 2θ)
33.9 deg, 2.642 Å, I 38; 35.3 deg, 2.543 Å, I 100; 43.8 deg, 2.067 Å, I 43; 56.5 deg, 1.628 Å, I 17; 62.7 deg, 1.481 Å, I 16; 74.9 deg, 1.267 Å, I 22